[1]
Diffraction record for Er6MgSc3. The powder XRD pattern is computed, not measured: it uses a structure optimized by DFT (GGA-PBE) and Cu Ka.
No peak broadening, texture or thermal motion is included.

abc: 12.3763 3.4850 13.0978
angles: 90.00 94.25 90.00
Space group P2_1/m (No. 11)
Asymmetric unit:
Er1 0.0164 0.2500 0.2214 x2
Er2 0.1816 0.7500 0.3883 x2
Er3 0.2144 0.2500 0.8159 x2
Er4 0.2872 0.2500 0.1826 x2
Er5 0.3843 0.7500 0.9818 x2
Er6 0.4164 0.2500 0.4187 x2
Mg1 0.1126 0.7500 0.0148 x2
Sc1 0.0840 0.2500 0.5850 x2
Sc2 0.3158 0.7500 0.6210 x2
Sc3 0.4777 0.2500 0.7816 x2

Top 10 peaks for 2θ = 15–90°, in order of falling intensity:
hkl, d_spacing, Position (°2θ), Rel. int.
3 1 -1, 2.631, 34.08, 100
0 0 5, 2.611, 34.34, 47
4 0 2, 2.713, 33.01, 36
1 1 -2, 3.008, 29.70, 23
7 1 -4, 1.456, 63.94, 21
7 1 1, 1.550, 59.64, 20
3 1 -6, 1.725, 53.08, 18
2 1 1, 2.932, 30.48, 17
3 1 4, 2.015, 44.99, 15
2 0 -4, 2.979, 30.00, 13

[2]
Diffraction record for MgTcB14. The powder XRD pattern is computed, not measured: it uses a structure optimized by DFT (GGA-PBE) and Cu Ka.
No peak broadening, texture or thermal motion is included.

abc: 5.9263 10.4671 8.1752
angles: 90.00 90.00 90.00
Space group Imma (No. 74)
Asymmetric unit:
Mg1 0.0000 0.2500 0.1488 x4
Tc1 0.2500 0.2500 0.7500 x4
B1 0.0000 0.0853 0.6713 x8
B2 0.0000 0.1336 0.8847 x8
B3 0.0000 0.1676 0.4649 x8
B4 0.1589 0.0639 0.3356 x16
B5 0.2440 0.0808 0.5456 x16

Top 10 peaks for 2θ = 15–90°, in order of falling intensity:
hkl, d_spacing, Position (°2θ), Rel. int.
2 3 1, 2.179, 41.45, 100
2 1 1, 2.692, 33.28, 67
0 2 0, 5.234, 16.94, 48
0 2 2, 3.221, 27.69, 45
0 0 2, 4.088, 21.74, 31
0 3 3, 2.148, 42.07, 27
0 3 1, 3.209, 27.80, 26
0 1 3, 2.637, 34.00, 25
0 4 2, 2.204, 40.95, 24
2 5 1, 1.674, 54.86, 18

[3]
Diffraction record for Tb4Nd6Er. The powder XRD pattern is computed, not measured: it uses a structure optimized by DFT (GGA-PBE) and Cu Ka.
No peak broadening, texture or thermal motion is included.

abc: 6.7665 6.7665 16.7612
angles: 90.00 90.00 90.00
Space group I-42m (No. 121)
Asymmetric unit:
Tb1 0.1768 0.1768 0.3808 x8
Nd1 0.0000 0.5000 0.0000 x4
Nd2 0.1905 0.1905 0.1771 x8
Er1 0.0000 0.0000 0.0000 x2

Top 10 peaks for 2θ = 15–90°, in order of falling intensity:
hkl, d_spacing, Position (°2θ), Rel. int.
2 1 1, 2.978, 30.01, 100
2 0 4, 2.632, 34.06, 70
2 0 2, 3.137, 28.45, 60
1 1 4, 3.152, 28.31, 49
1 0 5, 3.004, 29.74, 35
2 2 0, 2.392, 37.60, 30
1 1 6, 2.412, 37.27, 30
4 1 1, 1.633, 56.33, 29
2 1 5, 2.246, 40.14, 26
3 2 5, 1.638, 56.17, 23

[4]
Diffraction record for Ba3Al4Pt4. The powder XRD pattern is computed, not measured: it uses a structure optimized by DFT (GGA-PBE) and Cu Ka.
No peak broadening, texture or thermal motion is included.

abc: 10.8552 8.2533 11.9683
angles: 90.00 90.00 90.00
Space group Cmcm (No. 63)
Asymmetric unit:
Ba1 0.0000 0.0270 0.2500 x4
Ba2 0.2188 0.0000 0.0000 x8
Al1 0.0000 0.3994 0.1230 x8
Al2 0.1355 0.3468 0.7500 x8
Pt1 0.0000 0.2975 0.5743 x8
Pt2 0.1856 0.3513 0.2500 x8

Top 10 peaks for 2θ = 15–90°, in order of falling intensity:
hkl, d_spacing, Position (°2θ), Rel. int.
2 2 2, 2.880, 31.06, 100
3 1 2, 2.899, 30.84, 86
1 1 3, 3.410, 26.13, 77
3 1 1, 3.194, 27.94, 44
1 3 0, 2.667, 33.61, 44
2 2 1, 3.168, 28.17, 39
0 0 4, 2.992, 29.86, 30
5 1 3, 1.858, 49.03, 30
0 4 3, 1.834, 49.70, 29
2 0 4, 2.620, 34.22, 29

[5]
Diffraction record for Zn2FePt. The powder XRD pattern is computed, not measured: it uses a structure optimized by DFT (GGA-PBE) and Cu Ka.
No peak broadening, texture or thermal motion is included.

abc: 3.8567 3.8567 7.5342
angles: 90.00 90.00 90.00
Space group I-4m2 (No. 119)
Asymmetric unit:
Zn1 0.0000 0.0000 0.0000 x2
Zn2 0.0000 0.5000 0.2500 x2
Fe1 0.0000 0.5000 0.7500 x2
Pt1 0.0000 0.0000 0.5000 x2

Top 10 peaks for 2θ = 15–90°, in order of falling intensity:
hkl, d_spacing, Position (°2θ), Rel. int.
1 1 2, 2.209, 40.85, 100
2 0 0, 1.928, 47.13, 33
1 0 1, 3.433, 25.95, 30
3 1 2, 1.160, 83.28, 24
2 0 4, 1.347, 69.80, 20
0 0 4, 1.884, 48.32, 15
1 1 6, 1.141, 85.05, 12
0 0 2, 3.767, 23.62, 11
2 2 4, 1.105, 88.53, 11
2 2 0, 1.364, 68.86, 10

[6]
Diffraction record for NdSmMgHg. The powder XRD pattern is computed, not measured: it uses a structure optimized by DFT (GGA-PBE) and Cu Ka.
No peak broadening, texture or thermal motion is included.

abc: 3.8509 3.8509 7.6116
angles: 90.00 90.00 90.00
Space group P4mm (No. 99)
Asymmetric unit:
Nd1 0.0000 0.0000 0.0000 x1
Sm1 0.0000 0.0000 0.5033 x1
Mg1 0.5000 0.5000 0.2548 x1
Hg1 0.5000 0.5000 0.7433 x1

Top 10 peaks for 2θ = 15–90°, in order of falling intensity:
hkl, d_spacing, Position (°2θ), Rel. int.
1 0 2, 2.707, 33.09, 100
1 1 0, 2.723, 32.89, 51
2 1 2, 1.569, 58.86, 39
1 0 1, 3.436, 25.93, 20
1 1 4, 1.560, 59.24, 19
2 0 0, 1.925, 47.20, 19
2 0 4, 1.353, 69.44, 12
1 1 1, 2.564, 35.00, 10
0 0 4, 1.903, 47.80, 9
3 1 0, 1.218, 78.55, 8

[7]
Diffraction record for LiPrCd2. The powder XRD pattern is computed, not measured: it uses a structure optimized by DFT (GGA-PBE) and Cu Ka.
No peak broadening, texture or thermal motion is included.

abc: 3.5143 3.5143 7.7179
angles: 90.00 90.00 90.00
Space group P4/mmm (No. 123)
Asymmetric unit:
Li1 0.0000 0.0000 0.0000 x1
Pr1 0.0000 0.0000 0.5000 x1
Cd1 0.5000 0.5000 0.2018 x2

Top 10 peaks for 2θ = 15–90°, in order of falling intensity:
hkl, d_spacing, Position (°2θ), Rel. int.
1 0 2, 2.598, 34.52, 100
1 0 1, 3.198, 27.90, 65
1 1 0, 2.485, 36.15, 55
2 1 2, 1.456, 63.96, 32
1 1 3, 1.787, 51.10, 29
0 0 3, 2.573, 34.87, 22
2 0 0, 1.757, 52.05, 19
1 0 5, 1.413, 66.12, 17
2 1 5, 1.101, 88.86, 16
2 1 1, 1.540, 60.08, 15